# 1
# Pm2Ho5Th4
Calculated X-ray powder pattern, Cu Kα (weighted mean of Kα1 and Kα2). Input: the GGA-PBE geometry in Alexandria.

Most intense lines, 5° ≤ 2θ ≤ 70°, in order of rising 2θ:
d_spacing, 2θ/deg, I_rel
3.098, 28.82, 19
2.967, 30.12, 76
2.861, 31.26, 100
2.755, 32.50, 86
2.730, 32.81, 66
2.598, 34.52, 16
2.505, 35.85, 19
1.822, 50.06, 16
1.671, 54.95, 16
1.582, 58.32, 16
1.470, 63.27, 19
1.443, 64.60, 16

Atomic structure:
```
data_Pm2Ho5Th4
_space_group_name_H-M_alt 'P 1'
_space_group_IT_number 1
_space_group_name_Hall 'P 1'
_cell_length_a 9.0214
_cell_length_b 9.0214
_cell_length_c 6.5798
_cell_angle_alpha 98.94
_cell_angle_beta 98.94
_cell_angle_gamma 43.49
loop_
_atom_site_label
_atom_site_type_symbol
_atom_site_fract_x
_atom_site_fract_y
_atom_site_fract_z
Pm1 Pm 0.1968 0.1968 0.3260
Pm2 Pm 0.8032 0.8032 0.6740
Ho1 Ho 0.0000 0.0000 0.5000
Ho2 Ho 0.1751 0.6536 0.0967
Ho3 Ho 0.3464 0.8249 0.9033
Ho4 Ho 0.6536 0.1751 0.0967
Ho5 Ho 0.8249 0.3464 0.9033
Th1 Th 0.2486 0.2486 0.8414
Th2 Th 0.4087 0.4087 0.5924
Th3 Th 0.5913 0.5913 0.4076
Th4 Th 0.7514 0.7514 0.1586
```


# 2
# TeSe3O
Calculated X-ray powder pattern, Cu Kα (weighted mean of Kα1 and Kα2). Input: the GGA-PBE geometry in Alexandria.

Most intense lines, 5° ≤ 2θ ≤ 70°, in order of rising 2θ:
d_spacing, 2θ/deg, I_rel
10.140, 8.72, 36
6.000, 14.77, 73
4.336, 20.48, 56
3.791, 23.46, 39
3.548, 25.10, 39
3.286, 27.14, 51
3.035, 29.43, 100
3.000, 29.78, 36
2.870, 31.16, 54
2.687, 33.34, 35
2.127, 42.49, 35
1.882, 48.37, 32

Atomic structure:
```
data_TeSe3O
_space_group_name_H-M_alt 'P 1'
_space_group_IT_number 1
_space_group_name_Hall 'P 1'
_cell_length_a 4.3958
_cell_length_b 6.5512
_cell_length_c 10.4484
_cell_angle_alpha 101.40
_cell_angle_beta 96.95
_cell_angle_gamma 94.83
loop_
_atom_site_label
_atom_site_type_symbol
_atom_site_fract_x
_atom_site_fract_y
_atom_site_fract_z
Te1 Te 0.0000 0.0000 0.0000
Te2 Te 0.3129 0.5647 0.8468
Se1 Se 0.1173 0.5607 0.3524
Se2 Se 0.2451 0.8689 0.7022
Se3 Se 0.2731 0.2281 0.3801
Se4 Se 0.4050 0.3071 0.0554
Se5 Se 0.8477 0.6958 0.5305
Se6 Se 0.8997 0.9787 0.2482
O1 O 0.3151 0.7914 0.0043
O2 O 0.7455 0.5994 0.8700
```


# 3
# Nd4AlZn2In
Calculated X-ray powder pattern, Cu Kα (weighted mean of Kα1 and Kα2). Input: the GGA-PBE geometry in Alexandria.

Most intense lines, 5° ≤ 2θ ≤ 70°, in order of rising 2θ:
d_spacing, 2θ/deg, I_rel
8.691, 10.18, 2
4.534, 19.58, 2
3.761, 23.66, 14
3.451, 25.81, 2
2.896, 30.88, 2
2.659, 33.71, 100
2.171, 41.60, 4
1.880, 48.41, 18
1.839, 49.58, 1
1.682, 54.57, 6
1.535, 60.28, 36
1.455, 64.00, 1

Atomic structure:
```
data_Nd4AlZn2In
_space_group_name_H-M_alt 'P 1'
_space_group_IT_number 1
_space_group_name_Hall 'P 1'
_cell_length_a 9.2171
_cell_length_b 9.2171
_cell_length_c 9.2171
_cell_angle_alpha 33.52
_cell_angle_beta 33.52
_cell_angle_gamma 33.52
loop_
_atom_site_label
_atom_site_type_symbol
_atom_site_fract_x
_atom_site_fract_y
_atom_site_fract_z
Nd1 Nd 0.1218 0.1218 0.1218
Nd2 Nd 0.3717 0.3717 0.3717
Nd3 Nd 0.6283 0.6283 0.6283
Nd4 Nd 0.8782 0.8782 0.8782
Al1 Al 0.0000 0.0000 0.0000
Zn1 Zn 0.2494 0.2494 0.2494
Zn2 Zn 0.7506 0.7506 0.7506
In1 In 0.5000 0.5000 0.5000
```


# 4
# BaNa5Cd2
Calculated X-ray powder pattern, Cu Kα (weighted mean of Kα1 and Kα2). Input: the GGA-PBE geometry in Alexandria.

Most intense lines, 5° ≤ 2θ ≤ 70°, in order of rising 2θ:
d_spacing, 2θ/deg, I_rel
7.566, 11.70, 45
4.940, 17.96, 61
3.536, 25.19, 100
3.351, 26.60, 22
3.073, 29.06, 48
2.609, 34.37, 18
2.527, 35.53, 33
2.485, 36.15, 55
2.473, 36.33, 38
1.892, 48.09, 18
1.768, 51.71, 22
1.514, 61.21, 24

Atomic structure:
```
data_BaNa5Cd2
_space_group_name_H-M_alt 'P 1'
_space_group_IT_number 1
_space_group_name_Hall 'P 1'
_cell_length_a 4.9482
_cell_length_b 9.8806
_cell_length_c 11.7626
_cell_angle_alpha 90.00
_cell_angle_beta 90.00
_cell_angle_gamma 90.00
loop_
_atom_site_label
_atom_site_type_symbol
_atom_site_fract_x
_atom_site_fract_y
_atom_site_fract_z
Ba1 Ba 0.0000 0.0000 0.0000
Ba2 Ba 0.5000 0.5000 0.5000
Na1 Na 0.0000 0.1828 0.3394
Na2 Na 0.0000 0.1828 0.6606
Na3 Na 0.0000 0.5000 0.0000
Na4 Na 0.0000 0.8172 0.3394
Na5 Na 0.0000 0.8172 0.6606
Na6 Na 0.5000 0.0000 0.5000
Na7 Na 0.5000 0.3172 0.1606
Na8 Na 0.5000 0.3172 0.8394
Na9 Na 0.5000 0.6828 0.1606
Na10 Na 0.5000 0.6828 0.8394
Cd1 Cd 0.0000 0.5000 0.2752
Cd2 Cd 0.0000 0.5000 0.7248
Cd3 Cd 0.5000 0.0000 0.2248
Cd4 Cd 0.5000 0.0000 0.7752
```


# 5
# Cr3CoC
Calculated X-ray powder pattern, Cu Kα (weighted mean of Kα1 and Kα2). Input: the GGA-PBE geometry in Alexandria.

Most intense lines, 5° ≤ 2θ ≤ 70°, in order of rising 2θ:
d_spacing, 2θ/deg, I_rel
2.676, 33.49, 2
2.185, 41.33, 100
1.892, 48.09, 55
1.545, 59.87, 1

Atomic structure:
```
data_Cr3CoC
_space_group_name_H-M_alt 'P 1'
_space_group_IT_number 1
_space_group_name_Hall 'P 1'
_cell_length_a 3.7840
_cell_length_b 3.7840
_cell_length_c 3.7840
_cell_angle_alpha 90.00
_cell_angle_beta 90.00
_cell_angle_gamma 90.00
loop_
_atom_site_label
_atom_site_type_symbol
_atom_site_fract_x
_atom_site_fract_y
_atom_site_fract_z
Cr1 Cr 0.0000 0.0000 0.5000
Cr2 Cr 0.0000 0.5000 0.0000
Cr3 Cr 0.5000 0.0000 0.0000
Co1 Co 0.5000 0.5000 0.5000
C1 C 0.0000 0.0000 0.0000
```


# 6
# DyHoScCd
Calculated X-ray powder pattern, Cu Kα (weighted mean of Kα1 and Kα2). Input: the GGA-PBE geometry in Alexandria.

Most intense lines, 5° ≤ 2θ ≤ 70°, in order of rising 2θ:
d_spacing, 2θ/deg, I_rel
8.791, 10.06, 11
4.395, 20.20, 9
3.515, 25.34, 11
2.745, 32.62, 100
2.485, 36.14, 38
2.198, 41.07, 13
2.163, 41.75, 6
1.757, 52.04, 14
1.646, 55.84, 21
1.480, 62.78, 30
1.372, 68.35, 11
1.352, 69.51, 10

Atomic structure:
```
data_DyHoScCd
_space_group_name_H-M_alt 'P 1'
_space_group_IT_number 1
_space_group_name_Hall 'P 1'
_cell_length_a 3.5147
_cell_length_b 3.5147
_cell_length_c 8.7906
_cell_angle_alpha 90.00
_cell_angle_beta 90.00
_cell_angle_gamma 90.00
loop_
_atom_site_label
_atom_site_type_symbol
_atom_site_fract_x
_atom_site_fract_y
_atom_site_fract_z
Dy1 Dy 0.0000 0.0000 0.0000
Ho1 Ho 0.0000 0.0000 0.5153
Sc1 Sc 0.5000 0.5000 0.2583
Cd1 Cd 0.5000 0.5000 0.7563
```


> What is the formula in the first record?

Pm2Ho5Th4